La2SnSb3: calculated X-ray powder pattern (Cu Kα, 1.54184 Å), based on a DFT-relaxed cell (GGA-PBE, Alexandria).
Neutral-atom scattering factors, no anomalous dispersion.

Most intense lines, 2θ from 5° to 70°, sorted by position:
| 2θ (°) | I/Imax |
| --- | --- |
| 27.38 | 51 |
| 27.51 | 100 |
| 38.62 | 20 |
| 39.20 | 78 |
| 39.96 | 18 |
| 47.99 | 22 |
| 49.12 | 20 |
| 56.78 | 13 |
| 63.97 | 18 |
| 64.16 | 18 |

Crystal structure
a = 4.5123 Å, b = 6.5152 Å, c = 13.9887 Å
α = 90.00°, β = 90.00°, γ = 90.00°
Space group Immm (No. 71)
Unique sites:
La 0.0000 0.0000 0.1656 x4
Sn 0.0000 0.0000 0.5000 x2
Sb 0.0000 0.5000 0.1663 x4
Sb 0.0000 0.5000 0.5000 x2

---

Pm2Sc2Sn2O: calculated X-ray powder pattern (Cu Kα, 1.54184 Å), based on a DFT-relaxed cell (GGA-PBE, Alexandria).
Neutral-atom scattering factors, no anomalous dispersion.

Most intense lines, 2θ from 5° to 70°, sorted by position:
| 2θ (°) | I/Imax |
| --- | --- |
| 21.57 | 30 |
| 28.42 | 100 |
| 30.46 | 49 |
| 32.61 | 34 |
| 33.87 | 61 |
| 35.96 | 97 |
| 40.62 | 74 |
| 53.03 | 33 |
| 53.89 | 32 |
| 58.80 | 25 |

Crystal structure
a = 4.4416 Å, b = 4.4416 Å, c = 16.4760 Å
α = 90.00°, β = 90.00°, γ = 90.00°
Space group I4/mmm (No. 139)
Unique sites:
Pm 0.0000 0.0000 0.1697 x4
Sc 0.0000 0.5000 0.0000 x4
Sn 0.0000 0.0000 0.3685 x4
O 0.0000 0.0000 0.0000 x2

---

KAg4Ge: calculated X-ray powder pattern (Cu Kα, 1.54184 Å), based on a DFT-relaxed cell (GGA-PBE, Alexandria).
Neutral-atom scattering factors, no anomalous dispersion.

Most intense lines, 2θ from 5° to 70°, sorted by position:
| 2θ (°) | I/Imax |
| --- | --- |
| 19.10 | 39 |
| 31.44 | 11 |
| 37.05 | 100 |
| 38.76 | 63 |
| 45.06 | 17 |
| 49.36 | 9 |
| 55.98 | 4 |
| 59.70 | 31 |
| 65.63 | 29 |
| 69.04 | 7 |

Crystal structure
a = 8.0477 Å, b = 8.0477 Å, c = 8.0477 Å
α = 90.00°, β = 90.00°, γ = 90.00°
Space group F-43m (No. 216)
Unique sites:
K 0.0000 0.0000 0.0000 x4
Ag 0.1244 0.1244 0.6244 x16
Ge 0.2500 0.2500 0.2500 x4

---

CsK2OsBr8: calculated X-ray powder pattern (Cu Kα, 1.54184 Å), based on a DFT-relaxed cell (GGA-PBE, Alexandria).
Neutral-atom scattering factors, no anomalous dispersion.

Most intense lines, 2θ from 5° to 70°, sorted by position:
| 2θ (°) | I/Imax |
| --- | --- |
| 9.47 | 87 |
| 12.24 | 72 |
| 14.84 | 100 |
| 15.50 | 81 |
| 23.83 | 65 |
| 27.52 | 70 |
| 28.63 | 58 |
| 32.10 | 84 |
| 32.24 | 84 |
| 46.28 | 78 |

Crystal structure
a = 6.2494 Å, b = 7.2301 Å, c = 9.7836 Å
α = 89.92°, β = 72.74°, γ = 89.61°
Space group P-1 (No. 2)
Unique sites:
Cs 0.0000 0.0000 0.0000 x1
K 0.3241 0.4980 0.3087 x2
Os 0.0000 0.0000 0.5000 x1
Br 0.1706 0.2435 0.6162 x2
Br 0.1718 0.7551 0.6167 x2
Br 0.2500 0.4997 0.9921 x2
Br 0.3363 0.9986 0.2819 x2

---

CrCd2Au6: calculated X-ray powder pattern (Cu Kα, 1.54184 Å), based on a DFT-relaxed cell (GGA-PBE, Alexandria).
Neutral-atom scattering factors, no anomalous dispersion.

Most intense lines, 2θ from 5° to 70°, sorted by position:
| 2θ (°) | I/Imax |
| --- | --- |
| 22.05 | 15 |
| 27.15 | 10 |
| 35.87 | 53 |
| 36.74 | 100 |
| 39.64 | 81 |
| 45.05 | 56 |
| 58.88 | 25 |
| 64.13 | 19 |
| 66.99 | 17 |
| 67.19 | 17 |

Crystal structure
a = 13.4107 Å, b = 10.0149 Å, c = 5.0465 Å
α = 90.00°, β = 100.05°, γ = 90.00°
Space group C2/c (No. 15)
Unique sites:
Cr 0.0000 0.1251 0.2500 x4
Cd 0.1671 0.3764 0.0765 x8
Au 0.0557 0.3689 0.5231 x8
Au 0.1067 0.1173 0.8063 x8
Au 0.2166 0.1285 0.3630 x8

---

Sm2PdPt2: calculated X-ray powder pattern (Cu Kα, 1.54184 Å), based on a DFT-relaxed cell (GGA-PBE, Alexandria).
Neutral-atom scattering factors, no anomalous dispersion.

Most intense lines, 2θ from 5° to 70°, sorted by position:
| 2θ (°) | I/Imax |
| --- | --- |
| 23.12 | 14 |
| 31.76 | 46 |
| 33.97 | 30 |
| 35.06 | 26 |
| 37.21 | 55 |
| 37.36 | 100 |
| 38.02 | 23 |
| 38.55 | 29 |
| 40.75 | 36 |
| 65.94 | 18 |

Crystal structure
a = 9.8779 Å, b = 5.6166 Å, c = 8.0309 Å
α = 90.00°, β = 106.59°, γ = 90.00°
Space group C2/c (No. 15)
Unique sites:
Sm 0.1521 0.1361 0.1516 x8
Pd 0.0000 0.2722 0.7500 x4
Pt 0.1293 0.3751 0.4953 x8

---

Pm3Si2I2: calculated X-ray powder pattern (Cu Kα, 1.54184 Å), based on a DFT-relaxed cell (GGA-PBE, Alexandria).
Neutral-atom scattering factors, no anomalous dispersion.

Most intense lines, 2θ from 5° to 70°, sorted by position:
| 2θ (°) | I/Imax |
| --- | --- |
| 22.14 | 56 |
| 26.20 | 33 |
| 27.54 | 100 |
| 29.62 | 95 |
| 29.70 | 82 |
| 32.41 | 35 |
| 39.87 | 65 |
| 41.87 | 33 |
| 42.02 | 33 |
| 43.15 | 31 |

Crystal structure
a = 4.1934 Å, b = 7.3651 Å, c = 8.0576 Å
α = 81.12°, β = 89.92°, γ = 73.66°
Space group P-1 (No. 2)
Unique sites:
Pm 0.0000 0.0000 0.0000 x1
Pm 0.2425 0.5126 0.7786 x2
Si 0.3749 0.2523 0.0986 x2
I 0.1232 0.7568 0.3855 x2

---

Pb2Se2O7: calculated X-ray powder pattern (Cu Kα, 1.54184 Å), based on a DFT-relaxed cell (GGA-PBE, Alexandria).
Neutral-atom scattering factors, no anomalous dispersion.

Most intense lines, 2θ from 5° to 70°, sorted by position:
| 2θ (°) | I/Imax |
| --- | --- |
| 25.48 | 64 |
| 26.02 | 100 |
| 28.14 | 30 |
| 29.63 | 35 |
| 32.48 | 31 |
| 35.90 | 17 |
| 37.57 | 16 |
| 46.20 | 29 |
| 50.72 | 15 |
| 52.01 | 21 |

Crystal structure
a = 4.9084 Å, b = 12.6826 Å, c = 6.2503 Å
α = 90.00°, β = 96.61°, γ = 90.00°
Space group P2_1/c (No. 14)
Unique sites:
Pb 0.1047 0.1476 0.3620 x4
Se 0.3720 0.6169 0.6825 x4
O 0.1290 0.6937 0.5353 x4
O 0.2179 0.5669 0.8942 x4
O 0.3884 0.2055 0.6964 x4
O 0.5000 0.0000 0.0000 x2

---

LiCa2SnAu6: calculated X-ray powder pattern (Cu Kα, 1.54184 Å), based on a DFT-relaxed cell (GGA-PBE, Alexandria).
Neutral-atom scattering factors, no anomalous dispersion.

Most intense lines, 2θ from 5° to 70°, sorted by position:
| 2θ (°) | I/Imax |
| --- | --- |
| 18.87 | 100 |
| 29.29 | 30 |
| 32.70 | 36 |
| 34.83 | 87 |
| 35.01 | 26 |
| 35.61 | 25 |
| 37.46 | 29 |
| 37.57 | 17 |
| 38.28 | 19 |
| 44.72 | 31 |

Crystal structure
a = 5.5764 Å, b = 6.5691 Å, c = 7.1997 Å
α = 86.73°, β = 67.57°, γ = 64.89°
Space group P-1 (No. 2)
Unique sites:
Li 0.0000 0.0000 0.0000 x1
Ca 0.2621 0.2255 0.2532 x2
Sn 0.5000 0.5000 0.5000 x1
Au 0.1745 0.3160 0.8382 x2
Au 0.2142 0.9545 0.6107 x2
Au 0.3287 0.6825 0.1619 x2

---

Ac3Bi5Rh6: calculated X-ray powder pattern (Cu Kα, 1.54184 Å), based on a DFT-relaxed cell (GGA-PBE, Alexandria).
Neutral-atom scattering factors, no anomalous dispersion.

Most intense lines, 2θ from 5° to 70°, sorted by position:
| 2θ (°) | I/Imax |
| --- | --- |
| 27.17 | 21 |
| 30.64 | 15 |
| 31.85 | 24 |
| 31.99 | 36 |
| 32.12 | 100 |
| 38.56 | 27 |
| 39.06 | 40 |
| 50.95 | 14 |
| 56.05 | 17 |
| 66.40 | 17 |

Crystal structure
a = 4.6125 Å, b = 14.0085 Å, c = 10.5543 Å
α = 90.00°, β = 90.00°, γ = 90.00°
Space group Pmmn (No. 59, origin choice 2)
Unique sites:
Ac 0.2500 0.0679 0.2439 x4
Ac 0.2500 0.7500 0.2615 x2
Bi 0.2500 0.0800 0.6098 x4
Bi 0.2500 0.6188 0.9899 x4
Bi 0.2500 0.7500 0.6860 x2
Rh 0.2500 0.0696 0.8713 x4
Rh 0.2500 0.2500 0.4696 x2
Rh 0.2500 0.2500 0.9795 x2
Rh 0.2500 0.6090 0.5141 x4

---

Ta2RuSe: calculated X-ray powder pattern (Cu Kα, 1.54184 Å), based on a DFT-relaxed cell (GGA-PBE, Alexandria).
Neutral-atom scattering factors, no anomalous dispersion.

Most intense lines, 2θ from 5° to 70°, sorted by position:
| 2θ (°) | I/Imax |
| --- | --- |
| 15.54 | 14 |
| 28.51 | 14 |
| 37.03 | 49 |
| 38.12 | 100 |
| 39.73 | 72 |
| 48.61 | 23 |
| 49.29 | 21 |
| 58.51 | 13 |
| 62.64 | 22 |
| 69.62 | 12 |

Crystal structure
a = 3.7458 Å, b = 3.1550 Å, c = 11.4065 Å
α = 90.00°, β = 90.00°, γ = 90.00°
Space group Amm2 (No. 38)
Unique sites:
Ta 0.0000 0.0000 0.0000 x2
Ta 0.5000 0.0000 0.3492 x2
Ru 0.5000 0.0000 0.6061 x2
Se 0.0000 0.0000 0.7576 x2

---

TlIn8Sn6: calculated X-ray powder pattern (Cu Kα, 1.54184 Å), based on a DFT-relaxed cell (GGA-PBE, Alexandria).
Neutral-atom scattering factors, no anomalous dispersion.

Most intense lines, 2θ from 5° to 70°, sorted by position:
| 2θ (°) | I/Imax |
| --- | --- |
| 24.54 | 55 |
| 31.81 | 100 |
| 37.92 | 78 |
| 41.40 | 38 |
| 45.69 | 10 |
| 50.30 | 27 |
| 52.39 | 12 |
| 57.38 | 14 |
| 64.68 | 25 |
| 68.49 | 13 |

Crystal structure
a = 8.2197 Å, b = 8.2197 Å, c = 23.1589 Å
α = 90.00°, β = 90.00°, γ = 120.00°
Space group R-3 (No. 148, hexagonal axes)
Unique sites:
Tl 0.0000 0.0000 0.0000 x3
In 0.0000 0.0000 0.3346 x6
In 0.0040 0.3262 0.1267 x18
Sn 0.0040 0.3463 0.9304 x18

---

Ca2LaAg2: calculated X-ray powder pattern (Cu Kα, 1.54184 Å), based on a DFT-relaxed cell (GGA-PBE, Alexandria).
Neutral-atom scattering factors, no anomalous dispersion.

Most intense lines, 2θ from 5° to 70°, sorted by position:
| 2θ (°) | I/Imax |
| --- | --- |
| 6.12 | 17 |
| 12.27 | 31 |
| 30.99 | 18 |
| 32.86 | 30 |
| 33.03 | 100 |
| 36.47 | 15 |
| 45.79 | 12 |
| 58.78 | 18 |
| 60.24 | 10 |
| 62.50 | 14 |

Crystal structure
a = 3.7196 Å, b = 5.4510 Å, c = 14.5494 Å
α = 90.00°, β = 97.33°, γ = 90.00°
Space group P2_1/m (No. 11)
Unique sites:
Ca 0.0438 0.2500 0.0885 x2
Ca 0.2244 0.2500 0.4487 x2
La 0.1378 0.7500 0.2782 x2
Ag 0.3665 0.7500 0.7313 x2
Ag 0.4527 0.2500 0.9044 x2